Starting from a GGA-PBE-relaxed structure, the powder X-ray diffraction pattern of Sr2GaSiAs was computed for Cu Ka.
Peak positions follow from Bragg's law for the DFT cell and can differ from measured ones.

Crystal structure
a = 7.645 Å, b = 4.259 Å, c = 9.535 Å
α = 90.00°, β = 107.82°, γ = 90.00°
Space group P2_1/m (No. 11)
Asymmetric unit:
1 Sr 0.181 0.250 0.406 x2
2 Sr 0.235 0.250 0.963 x2
3 Ga 0.493 0.250 0.732 x2
4 Si 0.312 0.750 0.699 x2
5 As 0.176 0.750 0.177 x2

Main lines, in order of rising 2θ (2θ from 10° to 80°):
- (2 0 0), 2θ 24.5, I = 15
- (2 0 -2), 2θ 26.3, I = 17
- (1 1 -2), 2θ 28.8, I = 100
- (2 0 1), 2θ 29.1, I = 16
- (1 1 -3), 2θ 35.4, I = 17
- (3 0 0), 2θ 37.1, I = 15
- (1 0 -4), 2θ 37.7, I = 26
- (3 1 -1), 2θ 41.3, I = 14
- (2 1 2), 2θ 42.0, I = 19
- (3 1 -2), 2θ 42.2, I = 20
- (0 2 0), 2θ 42.4, I = 23
- (1 2 -4), 2θ 58.1, I = 15

Starting from a GGA-PBE-relaxed structure, the powder X-ray diffraction pattern of Cs3Cu2PbBr8 was computed for Cu Ka.
Peak positions follow from Bragg's law for the DFT cell and can differ from measured ones.

Crystal structure
a = 7.9561 Å, b = 7.9561 Å, c = 10.1597 Å
α = 90.00°, β = 90.00°, γ = 120.00°
Space group P-3m1 (No. 164)
Asymmetric unit:
1 Cs 0.0000 0.0000 0.0000 x1
2 Cs 0.3333 0.6667 0.6379 x2
3 Cu 0.3333 0.6667 0.2126 x2
4 Pb 0.0000 0.0000 0.5000 x1
5 Br 0.1717 0.3435 0.3218 x6
6 Br 0.3333 0.6667 0.9846 x2

Main lines, in order of rising 2θ (2θ from 10° to 80°):
- (0 1 2), 2θ 21.7, I = 41
- (1 1 0), 2θ 22.3, I = 100
- (0 0 3), 2θ 26.3, I = 21
- (0 2 1), 2θ 27.3, I = 46
- (1 1 2), 2θ 28.5, I = 38
- (0 1 3), 2θ 29.4, I = 20
- (2 0 2), 2θ 31.4, I = 92
- (2 0 3), 2θ 37.2, I = 23
- (3 0 0), 2θ 39.2, I = 23
- (0 2 4), 2θ 44.3, I = 34
- (2 2 0), 2θ 45.6, I = 53
- (0 4 2), 2θ 56.4, I = 17

Starting from a GGA-PBE-relaxed structure, the powder X-ray diffraction pattern of Li2ScCl5 was computed for Cu Ka.
Peak positions follow from Bragg's law for the DFT cell and can differ from measured ones.

Crystal structure
a = 10.569 Å, b = 8.101 Å, c = 6.410 Å
α = 90.00°, β = 119.96°, γ = 90.00°
Space group Cm (No. 8)
Asymmetric unit:
1 Li 0.000 0.218 0.000 x4
2 Sc 0.303 0.500 0.236 x2
3 Cl 0.050 0.500 0.165 x2
4 Cl 0.055 0.000 0.294 x2
5 Cl 0.245 0.252 0.003 x4
6 Cl 0.399 0.500 0.669 x2

Main lines, in order of rising 2θ (2θ from 10° to 80°):
- (1 1 0), 2θ 14.6, I = 100
- (0 0 1), 2θ 16.0, I = 85
- (1 1 -1), 2θ 17.7, I = 36
- (0 2 1), 2θ 27.3, I = 46
- (2 2 -1), 2θ 28.5, I = 33
- (2 2 0), 2θ 29.4, I = 26
- (1 1 -2), 2θ 30.7, I = 28
- (4 0 -1), 2θ 34.1, I = 47
- (0 2 2), 2θ 39.3, I = 52
- (0 4 0), 2θ 44.8, I = 23
- (4 2 -3), 2θ 50.7, I = 17
- (4 2 1), 2θ 55.3, I = 20

Starting from a GGA-PBE-relaxed structure, the powder X-ray diffraction pattern of Ac3Pr12Tl was computed for Cu Ka.
Peak positions follow from Bragg's law for the DFT cell and can differ from measured ones.

Crystal structure
a = 6.178 Å, b = 6.178 Å, c = 15.321 Å
α = 90.00°, β = 90.00°, γ = 90.00°
Space group P4/mmm (No. 123)
Asymmetric unit:
1 Ac 0.000 0.000 0.000 x1
2 Ac 0.000 0.000 0.254 x2
3 Pr 0.000 0.500 0.125 x4
4 Pr 0.000 0.500 0.387 x4
5 Pr 0.500 0.500 0.000 x1
6 Pr 0.500 0.500 0.250 x2
7 Pr 0.500 0.500 0.500 x1
8 Tl 0.000 0.000 0.500 x1

Main lines, in order of rising 2θ (2θ from 10° to 80°):
- (2 0 0), 2θ 28.9, I = 62
- (1 1 4), 2θ 31.1, I = 100
- (2 2 0), 2θ 41.3, I = 24
- (0 0 8), 2θ 47.5, I = 7
- (3 1 4), 2θ 52.6, I = 46
- (2 0 8), 2θ 56.5, I = 17
- (4 0 0), 2θ 59.9, I = 8
- (2 2 8), 2θ 64.7, I = 12
- (4 2 0), 2θ 67.8, I = 11
- (3 3 4), 2θ 69.0, I = 10
- (1 1 12), 2θ 78.0, I = 6
- (4 0 8), 2θ 79.8, I = 6

Starting from a GGA-PBE-relaxed structure, the powder X-ray diffraction pattern of Tm8Ni3Au2 was computed for Cu Ka.
Peak positions follow from Bragg's law for the DFT cell and can differ from measured ones.

Crystal structure
a = 14.369 Å, b = 7.137 Å, c = 6.706 Å
α = 90.00°, β = 107.01°, γ = 90.00°
Space group C2/m (No. 12)
Asymmetric unit:
1 Tm 0.094 0.000 0.408 x4
2 Tm 0.113 0.254 0.885 x8
3 Tm 0.141 0.500 0.375 x4
4 Ni 0.000 0.314 0.500 x4
5 Ni 0.000 0.500 0.000 x2
6 Au 0.237 0.000 0.189 x4

Main lines, in order of rising 2θ (2θ from 10° to 80°):
- (1 1 1), 2θ 21.0, I = 32
- (3 1 -1), 2θ 23.8, I = 36
- (0 2 1), 2θ 28.6, I = 52
- (2 2 -1), 2θ 29.7, I = 55
- (2 2 1), 2θ 33.2, I = 72
- (5 1 -1), 2θ 33.9, I = 48
- (2 0 2), 2θ 34.1, I = 100
- (4 2 -1), 2θ 36.0, I = 86
- (6 0 -2), 2θ 41.2, I = 41
- (4 2 1), 2θ 41.8, I = 48
- (2 2 -3), 2θ 48.0, I = 81
- (0 4 0), 2θ 51.2, I = 35

Starting from a GGA-PBE-relaxed structure, the powder X-ray diffraction pattern of CuAg2As was computed for Cu Ka.
Peak positions follow from Bragg's law for the DFT cell and can differ from measured ones.

Crystal structure
a = 2.9451 Å, b = 2.9451 Å, c = 27.2863 Å
α = 90.00°, β = 90.00°, γ = 120.00°
Space group R3m (No. 160, hexagonal axes)
Asymmetric unit:
1 Cu 0.0000 0.0000 0.0000 x3
2 Ag 0.0000 0.0000 0.4109 x3
3 Ag 0.0000 0.0000 0.5890 x3
4 As 0.0000 0.0000 0.8333 x3

Main lines, in order of rising 2θ (2θ from 10° to 80°):
- (0 0 6), 2θ 19.5, I = 10
- (1 0 1), 2θ 35.3, I = 14
- (0 1 2), 2θ 35.8, I = 25
- (1 0 4), 2θ 37.7, I = 17
- (0 1 5), 2θ 39.0, I = 100
- (0 0 12), 2θ 39.6, I = 37
- (1 0 7), 2θ 42.3, I = 56
- (1 0 10), 2θ 48.9, I = 22
- (1 1 0), 2θ 63.1, I = 29
- (0 1 17), 2θ 69.2, I = 18
- (2 0 5), 2θ 76.8, I = 13
- (1 1 12), 2θ 77.2, I = 29

Starting from a GGA-PBE-relaxed structure, the powder X-ray diffraction pattern of Rb3H7Ru was computed for Cu Ka.
Peak positions follow from Bragg's law for the DFT cell and can differ from measured ones.

Crystal structure
a = 8.636 Å, b = 9.217 Å, c = 8.492 Å
α = 90.00°, β = 90.00°, γ = 90.00°
Space group Fmm2 (No. 42)
Asymmetric unit:
1 Rb 0.000 0.000 0.000 x4
2 Rb 0.250 0.250 0.239 x8
3 H 0.000 0.000 0.684 x4
4 H 0.000 0.189 0.486 x8
5 H 0.108 0.000 0.325 x8
6 H 0.187 0.000 0.539 x8
7 Ru 0.000 0.000 0.485 x4

Main lines, in order of rising 2θ (2θ from 10° to 80°):
- (2 2 0), 2θ 28.3, I = 100
- (0 2 2), 2θ 28.6, I = 97
- (2 0 2), 2θ 29.5, I = 91
- (0 4 0), 2θ 39.1, I = 22
- (4 0 0), 2θ 41.8, I = 17
- (0 0 4), 2θ 42.6, I = 16
- (2 4 2), 2θ 49.7, I = 41
- (4 2 2), 2θ 51.5, I = 37
- (2 2 4), 2θ 51.9, I = 35
- (4 4 0), 2θ 58.6, I = 12
- (0 4 4), 2θ 59.2, I = 12
- (4 4 4), 2θ 75.1, I = 12

Starting from a GGA-PBE-relaxed structure, the powder X-ray diffraction pattern of AcLa4H8 was computed for Cu Ka.
Peak positions follow from Bragg's law for the DFT cell and can differ from measured ones.

Crystal structure
a = 6.150 Å, b = 6.150 Å, c = 6.150 Å
α = 90.00°, β = 90.00°, γ = 90.00°
Space group Pm-3m (No. 221)
Asymmetric unit:
1 Ac 0.000 0.000 0.000 x1
2 La 0.000 0.000 0.500 x3
3 La 0.500 0.500 0.500 x1
4 H 0.241 0.241 0.241 x8

Main lines, in order of rising 2θ (2θ from 10° to 80°):
- (1 0 0), 2θ 14.4, I = 44
- (1 1 0), 2θ 20.4, I = 40
- (1 1 1), 2θ 25.1, I = 37
- (2 0 0), 2θ 29.0, I = 100
- (2 1 0), 2θ 32.6, I = 25
- (2 1 1), 2θ 35.8, I = 20
- (2 2 0), 2θ 41.5, I = 81
- (2 2 1), 2θ 44.2, I = 14
- (3 1 1), 2θ 49.1, I = 17
- (2 2 2), 2θ 51.5, I = 28
- (4 2 0), 2θ 68.2, I = 36
- (4 2 2), 2θ 75.8, I = 27

Starting from a GGA-PBE-relaxed structure, the powder X-ray diffraction pattern of Mg3Ni9SnP2 was computed for Cu Ka.
Peak positions follow from Bragg's law for the DFT cell and can differ from measured ones.

Crystal structure
a = 5.6438 Å, b = 5.6438 Å, c = 8.8413 Å
α = 90.00°, β = 90.00°, γ = 120.00°
Space group P-3m1 (No. 164)
Asymmetric unit:
1 Mg 0.0000 0.0000 0.0000 x1
2 Mg 0.3333 0.6667 0.7410 x2
3 Ni 0.0000 0.5000 0.0000 x3
4 Ni 0.1416 0.2833 0.2594 x6
5 Sn 0.0000 0.0000 0.5000 x1
6 P 0.3333 0.6667 0.1618 x2

Main lines, in order of rising 2θ (2θ from 10° to 80°):
- (0 0 1), 2θ 10.0, I = 24
- (1 0 0), 2θ 18.2, I = 35
- (1 0 1), 2θ 20.8, I = 81
- (0 2 1), 2θ 38.2, I = 44
- (0 0 4), 2θ 40.8, I = 32
- (2 0 2), 2θ 42.3, I = 100
- (1 1 3), 2θ 44.4, I = 15
- (2 0 3), 2θ 48.4, I = 28
- (2 1 1), 2θ 50.5, I = 22
- (0 2 5), 2θ 65.1, I = 13
- (2 2 0), 2θ 66.2, I = 21
- (2 0 6), 2θ 75.3, I = 15

Starting from a GGA-PBE-relaxed structure, the powder X-ray diffraction pattern of Pr2Ga3Cu6 was computed for Cu Ka.
Peak positions follow from Bragg's law for the DFT cell and can differ from measured ones.

Crystal structure
a = 7.3246 Å, b = 7.3246 Å, c = 4.1947 Å
α = 90.00°, β = 90.00°, γ = 120.00°
Space group P-62m (No. 189)
Asymmetric unit:
1 Pr 0.3333 0.6667 0.0000 x2
2 Ga 0.0000 0.6186 0.5000 x3
3 Cu 0.0000 0.2724 0.5000 x3
4 Cu 0.0000 0.8070 0.0000 x3

Main lines, in order of rising 2θ (2θ from 10° to 80°):
- (1 1 1), 2θ 32.5, I = 100
- (2 0 1), 2θ 35.5, I = 14
- (2 1 0), 2θ 37.5, I = 25
- (3 0 0), 2θ 42.8, I = 28
- (0 0 2), 2θ 43.1, I = 28
- (2 1 1), 2θ 43.5, I = 57
- (3 1 0), 2θ 52.0, I = 11
- (2 2 1), 2θ 54.7, I = 15
- (2 1 2), 2θ 58.5, I = 13
- (3 0 2), 2θ 62.4, I = 18
- (4 1 1), 2θ 71.8, I = 17
- (1 1 3), 2θ 72.3, I = 9

Starting from a GGA-PBE-relaxed structure, the powder X-ray diffraction pattern of ReBRh was computed for Cu Ka.
Peak positions follow from Bragg's law for the DFT cell and can differ from measured ones.

Crystal structure
a = 2.734 Å, b = 2.734 Å, c = 9.329 Å
α = 90.00°, β = 90.00°, γ = 90.00°
Space group I4mm (No. 107)
Asymmetric unit:
1 Re 0.000 0.000 0.000 x2
2 B 0.000 0.000 0.638 x2
3 Rh 0.000 0.000 0.284 x2

Main lines, in order of rising 2θ (2θ from 10° to 80°):
- (0 0 2), 2θ 19.0, I = 24
- (1 0 1), 2θ 34.2, I = 94
- (0 0 4), 2θ 38.6, I = 33
- (1 0 3), 2θ 44.1, I = 100
- (1 1 0), 2θ 47.0, I = 51
- (1 1 2), 2θ 51.2, I = 8
- (0 0 6), 2θ 59.5, I = 5
- (1 0 5), 2θ 60.0, I = 7
- (1 1 4), 2θ 62.4, I = 33
- (2 0 0), 2θ 68.7, I = 16
- (2 0 2), 2θ 72.0, I = 3
- (1 1 6), 2θ 79.0, I = 27

Starting from a GGA-PBE-relaxed structure, the powder X-ray diffraction pattern of PdAu2Br6 was computed for Cu Ka.
Peak positions follow from Bragg's law for the DFT cell and can differ from measured ones.

Crystal structure
a = 14.270 Å, b = 11.863 Å, c = 6.843 Å
α = 90.00°, β = 90.73°, γ = 90.00°
Space group C2/c (No. 15)
Asymmetric unit:
1 Pd 0.000 0.081 0.250 x4
2 Au 0.106 0.428 0.256 x8
3 Br 0.099 0.066 0.926 x8
4 Br 0.109 0.228 0.396 x8
5 Br 0.130 0.380 0.885 x8

Main lines, in order of rising 2θ (2θ from 10° to 80°):
- (2 0 0), 2θ 12.4, I = 80
- (0 2 0), 2θ 14.9, I = 46
- (1 1 1), 2θ 16.3, I = 46
- (3 1 0), 2θ 20.1, I = 57
- (4 0 0), 2θ 25.0, I = 100
- (1 3 1), 2θ 26.8, I = 69
- (2 0 -2), 2θ 28.8, I = 60
- (3 3 1), 2θ 32.3, I = 53
- (0 4 1), 2θ 32.9, I = 55
- (5 1 -2), 2θ 41.7, I = 61
- (4 4 1), 2θ 41.9, I = 46
- (1 3 3), 2θ 46.5, I = 45

Starting from a GGA-PBE-relaxed structure, the powder X-ray diffraction pattern of DyInS3 was computed for Cu Ka.
Peak positions follow from Bragg's law for the DFT cell and can differ from measured ones.

Crystal structure
a = 6.7940 Å, b = 6.7940 Å, c = 18.1286 Å
α = 90.00°, β = 90.00°, γ = 120.00°
Space group R-3 (No. 148, hexagonal axes)
Asymmetric unit:
1 Dy 0.0000 0.0000 0.1483 x6
2 In 0.0000 0.0000 0.3506 x6
3 S 0.0092 0.7017 0.2517 x18

Main lines, in order of rising 2θ (2θ from 10° to 80°):
- (0 1 2), 2θ 18.0, I = 41
- (1 0 4), 2θ 24.8, I = 100
- (1 1 0), 2θ 26.2, I = 95
- (1 1 3), 2θ 30.2, I = 23
- (0 2 4), 2θ 36.4, I = 48
- (2 -1 6), 2θ 39.9, I = 83
- (3 -1 4), 2θ 45.4, I = 47
- (3 0 0), 2θ 46.3, I = 51
- (1 0 10), 2θ 52.8, I = 25
- (1 3 4), 2θ 60.3, I = 15
- (2 2 6), 2θ 62.8, I = 21
- (2 1 10), 2θ 66.5, I = 19